Calculated powder XRD pattern of Li2CoTeO6 for Cu Kα (λ = 1.5418 Å), from the GGA+U geometry in OQMD.
Intensities are scaled so that the largest is 100.

Structure:
abc: 4.7788 5.0109 8.1380
angles: 90.00 90.00 90.00
Positions (direct):
Li 0.0000 0.0000 0.0000
Li 0.0000 0.5000 0.4008
Li 0.5000 0.0000 0.9008
Li 0.5000 0.5000 0.5000
Co 0.0000 0.5000 0.7956
Co 0.5000 0.0000 0.2956
Te 0.0000 0.0000 0.6095
Te 0.5000 0.5000 0.1095
O 0.2028 0.3346 0.6249
O 0.2050 0.8198 0.7868
O 0.2443 0.3415 0.9505
O 0.2557 0.8415 0.4505
O 0.2950 0.3198 0.2868
O 0.2972 0.8346 0.1249
O 0.7028 0.1654 0.1249
O 0.7050 0.6802 0.2868
O 0.7443 0.1585 0.4505
O 0.7557 0.6585 0.9505
O 0.7950 0.1802 0.7868
O 0.7972 0.6654 0.6249

The 12 most intense peaks (2θ = 10–90°), low angle first:
| two_theta | Rel. int. | (hkl) |
| --- | --- | --- |
| 20.8 | 41 | 0 1 1 |
| 21.6 | 100 | 1 0 1 |
| 21.8 | 12 | 0 0 2 |
| 34.0 | 61 | 1 1 2 |
| 37.7 | 20 | 0 1 3 |
| 42.2 | 24 | 1 2 1 |
| 42.4 | 11 | 0 2 2 |
| 43.4 | 11 | 2 1 1 |
| 53.0 | 16 | 2 2 0 |
| 54.3 | 27 | 2 1 3 |
| 63.2 | 12 | 1 3 2 |
| 65.6 | 21 | 0 3 3 |